Simulated powder diffraction line list
Compound: HfCoBPt
Radiation: copper Kα
Structure: a structure optimized by DFT (GGA-PBE)
Intensities are scaled so that the largest is 100.

Largest 8 diffraction maxima, in order of falling intensity, 5° ≤ 2θ ≤ 70°:
d_spacing	2θ/deg	Rel. int.
2.128	42.47	100
3.476	25.63	58
1.815	50.27	30
1.505	61.63	17
1.381	67.86	12
3.010	29.68	3
1.346	69.88	1
1.738	52.67	1

```
HfCoBPt
1.0
6.0200 0.0000 0.0000
0.0000 6.0200 0.0000
0.0000 0.0000 6.0200
Hf Co B Pt
4 4 4 4
Direct
0.0000 0.0000 0.0000
0.0000 0.5000 0.5000
0.5000 0.0000 0.5000
0.5000 0.5000 0.0000
0.2500 0.2500 0.7500
0.2500 0.7500 0.2500
0.7500 0.2500 0.2500
0.7500 0.7500 0.7500
0.0000 0.0000 0.5000
0.0000 0.5000 0.0000
0.5000 0.0000 0.0000
0.5000 0.5000 0.5000
0.2500 0.2500 0.2500
0.2500 0.7500 0.7500
0.7500 0.2500 0.7500
0.7500 0.7500 0.2500
```

***

Simulated powder diffraction line list
Compound: Ho4CoB13
Radiation: copper Kα
Structure: a structure optimized by DFT (GGA-PBE)
Intensities are scaled so that the largest is 100.

Largest 10 diffraction maxima, in order of falling intensity, 5° ≤ 2θ ≤ 70°:
d_spacing	2θ/deg	Rel. int.
2.363	38.08	100
3.258	27.38	96
3.433	25.96	59
2.498	35.95	40
1.571	58.78	40
3.642	24.44	40
1.767	51.74	38
1.717	53.37	28
1.913	47.53	28
2.060	43.95	22

```
Ho4CoB13
1.0
7.2848 0.0000 0.0000
0.0000 7.2848 0.0000
0.0000 0.0000 6.8657
Ho Co B
8 2 26
Direct
0.1812 0.3157 0.0000
0.1843 0.3188 0.5000
0.3157 0.8188 0.0000
0.3188 0.8157 0.5000
0.6812 0.1843 0.5000
0.6843 0.1812 0.0000
0.8157 0.6812 0.5000
0.8188 0.6843 0.0000
0.0000 0.0000 0.5000
0.5000 0.5000 0.0000
0.0000 0.0000 0.0000
0.0393 0.8300 0.2455
0.0393 0.8300 0.7545
0.0905 0.5905 0.2500
0.0905 0.5905 0.7500
0.1700 0.0393 0.2455
0.1700 0.0393 0.7545
0.3300 0.5393 0.2545
0.3300 0.5393 0.7455
0.4095 0.0905 0.2500
0.4095 0.0905 0.7500
0.4607 0.3300 0.2545
0.4607 0.3300 0.7455
0.5000 0.5000 0.5000
0.5393 0.6700 0.2545
0.5393 0.6700 0.7455
0.5905 0.9095 0.2500
0.5905 0.9095 0.7500
0.6700 0.4607 0.2545
0.6700 0.4607 0.7455
0.8300 0.9607 0.2455
0.8300 0.9607 0.7545
0.9095 0.4095 0.2500
0.9095 0.4095 0.7500
0.9607 0.1700 0.2455
0.9607 0.1700 0.7545
```

***

Simulated powder diffraction line list
Compound: Ho4Co3B6
Radiation: copper Kα
Structure: a structure optimized by DFT (GGA-PBE)
Intensities are scaled so that the largest is 100.

Largest 10 diffraction maxima, in order of falling intensity, 5° ≤ 2θ ≤ 70°:
d_spacing	2θ/deg	Rel. int.
2.645	33.89	100
2.139	42.25	71
3.637	24.48	38
2.577	34.81	23
1.527	60.64	21
1.499	61.92	18
2.344	38.41	17
1.408	66.40	15
3.160	28.24	9
4.483	19.80	9

```
Ho4Co3B6
1.0
2.6449 1.5270 7.2739
-2.6449 1.5270 7.2739
0.0000 -3.0541 7.2739
Ho Co B
4 3 6
Direct
0.0889 0.0889 0.0889
0.2447 0.2447 0.2447
0.7553 0.7553 0.7553
0.9111 0.9111 0.9111
0.3876 0.3876 0.3876
0.5000 0.5000 0.5000
0.6124 0.6124 0.6124
0.0000 0.3319 0.6681
0.0000 0.6681 0.3319
0.3319 0.0000 0.6681
0.3319 0.6681 0.0000
0.6681 0.0000 0.3319
0.6681 0.3319 0.0000
```

***

Simulated powder diffraction line list
Compound: Ho2Co4B4Ir
Radiation: copper Kα
Structure: a structure optimized by DFT (GGA-PBE)
Intensities are scaled so that the largest is 100.

Largest 10 diffraction maxima, in order of falling intensity, 5° ≤ 2θ ≤ 70°:
d_spacing	2θ/deg	Rel. int.
2.829	31.63	100
2.229	40.46	64
2.157	41.88	54
2.357	38.18	37
4.714	18.82	22
1.591	57.96	18
1.512	61.31	16
1.377	68.09	16
2.372	37.93	15
1.415	66.05	9

```
Ho2Co4B4Ir
1.0
0.0000 4.7140 5.4905
2.5301 0.0000 5.4905
2.5301 4.7140 0.0000
Ho Co B Ir
2 4 4 1
Direct
0.1451 0.1451 0.8549
0.8549 0.8549 0.1451
0.0000 0.0000 0.5000
0.2500 0.2500 0.2500
0.5000 0.5000 0.0000
0.7500 0.7500 0.7500
0.2007 0.5336 0.4664
0.4664 0.7993 0.2007
0.5336 0.2007 0.7993
0.7993 0.4664 0.5336
0.5000 0.5000 0.5000
```

***

Simulated powder diffraction line list
Compound: Ho2CoB2IrN2
Radiation: copper Kα
Structure: a structure optimized by DFT (GGA-PBE)
Intensities are scaled so that the largest is 100.

Largest 10 diffraction maxima, in order of falling intensity, 5° ≤ 2θ ≤ 70°:
d_spacing	2θ/deg	Rel. int.
2.393	37.58	100
3.225	27.66	89
2.588	34.66	63
2.095	43.18	62
2.504	35.87	53
1.785	51.17	42
1.454	64.06	38
1.507	61.55	28
1.562	59.15	23
1.470	63.28	23

```
Ho2CoB2IrN2
1.0
3.5706 0.0000 0.0000
0.0000 3.5706 0.0000
0.0000 0.0000 7.5110
Ho Co B Ir N
2 1 2 1 2
Direct
0.0000 0.5000 0.1624
0.5000 0.0000 0.8376
0.5000 0.5000 0.5000
0.0000 0.5000 0.6571
0.5000 0.0000 0.3429
0.0000 0.0000 0.5000
0.0000 0.5000 0.8573
0.5000 0.0000 0.1427
```

***

Simulated powder diffraction line list
Compound: Ho2TmCo2B2N3
Radiation: copper Kα
Structure: a structure optimized by DFT (GGA-PBE)
Intensities are scaled so that the largest is 100.

Largest 10 diffraction maxima, in order of falling intensity, 5° ≤ 2θ ≤ 70°:
d_spacing	2θ/deg	Rel. int.
3.047	29.32	100
2.594	34.58	85
2.473	36.33	49
2.429	37.01	42
2.359	38.15	40
1.718	53.34	35
1.411	66.25	33
2.180	41.41	29
1.432	65.14	28
1.496	62.03	26

```
Ho2TmCo2B2N3
1.0
-1.7176 1.7176 9.8904
1.7176 -1.7176 9.8904
1.7176 1.7176 -9.8904
Ho Tm Co B N
2 1 2 2 3
Direct
0.1229 0.1229 0.0000
0.8771 0.8771 0.0000
0.5000 0.5000 0.0000
0.2500 0.7500 0.5000
0.7500 0.2500 0.5000
0.3075 0.3075 0.0000
0.6925 0.6925 0.0000
0.0000 0.0000 0.0000
0.3839 0.3839 0.0000
0.6161 0.6161 0.0000
```